1.
The following is a theoretical powder XRD pattern of Co2TeO. It was derived from a cell relaxed with GGA+U, using Cu Kα, 1.54184 Å.

Lattice parameters (Å, degrees): 3.548 12.606 5.976 90.00 90.00 90.00
Space group Cmc2_1 (No. 36)
Asymmetric unit:
1 Co 0.000 0.038 0.000 x4
2 Co 0.000 0.336 0.852 x4
3 Te 0.000 0.335 0.309 x4
4 O 0.000 0.085 0.310 x4

Peak list (10 most intense, 5° ≤ 2θ ≤ 70°, sorted by position)
- 2θ 20.48, intensity 16, (0 2 1)
- 2θ 29.90, intensity 33, (0 0 2)
- 2θ 30.14, intensity 20, (1 1 1)
- 2θ 33.05, intensity 100, (1 3 0)
- 2θ 33.18, intensity 26, (0 2 2)
- 2θ 40.10, intensity 33, (1 1 2)
- 2θ 41.65, intensity 17, (0 4 2)
- 2θ 45.16, intensity 37, (1 3 2)
- 2θ 51.52, intensity 17, (2 0 0)
- 2θ 53.28, intensity 21, (0 6 2)

---

2.
The following is a theoretical powder XRD pattern of Na2ZrCoP4O14. It was derived from a cell relaxed with GGA+U, using Cu Kα, 1.54184 Å.

Lattice parameters (Å, degrees): 6.512 6.546 6.588 66.73 86.18 82.35
Space group P1 (No. 1)
Asymmetric unit:
1 Na 0.000 0.000 0.000 x1
2 Na 0.243 0.430 0.616 x1
3 Zr 0.755 0.807 0.578 x1
4 Co 0.440 0.617 0.018 x1
5 P 0.235 0.953 0.539 x1
6 P 0.476 0.084 0.112 x1
7 P 0.709 0.356 0.453 x1
8 P 0.967 0.497 0.045 x1
9 O 0.046 0.355 0.921 x1
10 O 0.072 0.814 0.508 x1
11 O 0.121 0.626 0.095 x1
12 O 0.149 0.100 0.654 x1
13 O 0.307 0.106 0.298 x1
14 O 0.400 0.935 0.018 x1
15 O 0.427 0.781 0.649 x1
16 O 0.495 0.325 0.958 x1
17 O 0.501 0.464 0.349 x1
18 O 0.680 0.970 0.246 x1
19 O 0.705 0.114 0.618 x1
20 O 0.773 0.668 0.929 x1
21 O 0.796 0.501 0.553 x1
22 O 0.874 0.330 0.273 x1

Peak list (10 most intense, 5° ≤ 2θ ≤ 70°, sorted by position)
- 2θ 13.72, intensity 31, (1 0 0)
- 2θ 14.83, intensity 31, (0 1 0)
- 2θ 16.28, intensity 91, (0 1 1)
- 2θ 20.27, intensity 48, (1 0 -1)
- 2θ 27.67, intensity 85, (0 2 1)
- 2θ 29.10, intensity 37, (1 -1 1)
- 2θ 29.26, intensity 76, (1 2 1)
- 2θ 29.52, intensity 100, (0 0 2)
- 2θ 31.21, intensity 96, (2 0 1)
- 2θ 31.63, intensity 94, (2 0 -1)